1.
Starting from a structure optimized by DFT (PBE+U), the X-ray diffraction stick pattern of SrLa2CeMn2Cr2O12 was calculated for Cu Kα X-rays.
Neutral-atom scattering factors, no anomalous dispersion.

Largest 12 diffraction maxima, in order of falling intensity, 15 to 90 degrees two-theta:
| 2theta | I/Imax |
| --- | --- |
| 32.4 | 1000 |
| 32.0 | 624 |
| 31.6 | 327 |
| 57.3 | 282 |
| 45.8 | 198 |
| 46.0 | 196 |
| 46.6 | 190 |
| 22.5 | 180 |
| 39.3 | 148 |
| 67.8 | 112 |
| 40.3 | 92 |
| 22.8 | 88 |

Atomic structure:
abc: 5.5204 5.5344 9.6411
angles: 90.67 105.37 119.14
Fractional coordinates of all 20 atoms:
Sr  0.0000  0.0000  0.0000
La  0.0114  0.5074  0.5081
La  0.5140  0.2594  0.7590
Ce  0.4998  0.7506  0.2497
Mn  0.2546  0.6282  0.8792
Mn  0.7599  0.3843  0.1327
Cr  0.2588  0.1280  0.3780
Cr  0.7502  0.8742  0.6252
O  0.0064  0.7858  0.2222
O  0.0802  0.8229  0.7473
O  0.1215  0.3592  0.2624
O  0.4275  0.9212  0.4963
O  0.4454  0.4599  0.0071
O  0.5049  0.4573  0.5422
O  0.5196  0.9805  0.0564
O  0.5651  0.7856  0.7832
O  0.5915  0.2910  0.2939
O  0.9076  0.9587  0.4515
O  0.9357  0.4658  0.9721
O  0.9953  0.2768  0.7124



2.
Starting from a structure optimized by DFT (PBE+U), the X-ray diffraction stick pattern of BaSrFeBiO6 was calculated for Cu Kα X-rays.
Neutral-atom scattering factors, no anomalous dispersion.

Largest 12 diffraction maxima, in order of falling intensity, 15 to 90 degrees two-theta:
| 2theta | I/Imax |
| --- | --- |
| 30.4 | 1000 |
| 54.1 | 406 |
| 43.6 | 307 |
| 18.5 | 229 |
| 87.9 | 222 |
| 63.3 | 191 |
| 71.8 | 179 |
| 35.8 | 153 |
| 47.7 | 75 |
| 80.0 | 64 |
| 66.6 | 54 |
| 57.6 | 53 |

Atomic structure:
abc: 5.8763 5.8763 5.8763
angles: 60.00 60.00 60.00
Fractional coordinates of all 10 atoms:
Ba  0.0000  0.0000  0.0000
Sr  0.5000  0.5000  0.5000
Fe  0.7500  0.7500  0.7500
Bi  0.2500  0.2500  0.2500
O  0.5060  0.5060  0.9940
O  0.5060  0.9940  0.5060
O  0.5060  0.9940  0.9940
O  0.9940  0.5060  0.5060
O  0.9940  0.5060  0.9940
O  0.9940  0.9940  0.5060



3.
Starting from a structure optimized by DFT (PBE+U), the X-ray diffraction stick pattern of Li3V2P4H2O16 was calculated for Cu Kα X-rays.
Neutral-atom scattering factors, no anomalous dispersion.

Largest 12 diffraction maxima, in order of falling intensity, 15 to 90 degrees two-theta:
| 2theta | I/Imax |
| --- | --- |
| 24.8 | 1000 |
| 16.4 | 725 |
| 29.2 | 707 |
| 29.0 | 677 |
| 25.2 | 670 |
| 33.1 | 591 |
| 22.7 | 314 |
| 22.5 | 272 |
| 51.5 | 223 |
| 27.2 | 186 |
| 22.0 | 168 |
| 43.5 | 165 |

Atomic structure:
abc: 7.9036 9.3983 9.4577
angles: 117.72 101.34 101.36
Fractional coordinates of all 54 atoms:
Li  0.0000  0.0000  0.0000
Li  0.0016  0.4980  0.4953
Li  0.3129  0.6828  0.4087
Li  0.3154  0.1813  0.9089
Li  0.5014  0.8746  0.1069
Li  0.8080  0.2935  0.7867
V  0.1540  0.8370  0.2016
V  0.1674  0.3366  0.6972
V  0.6521  0.5821  0.4462
V  0.6547  0.0858  0.9499
P  0.3881  0.6911  0.7074
P  0.3887  0.1939  0.2057
P  0.4260  0.0798  0.5952
P  0.4293  0.5793  0.0924
P  0.8919  0.5954  0.8035
P  0.8952  0.0956  0.3077
P  0.9172  0.4816  0.1887
P  0.9176  0.9778  0.6879
H  0.1416  0.3532  0.2073
H  0.1449  0.8523  0.7036
H  0.6686  0.5803  0.9358
H  0.6699  0.0814  0.4328
O  0.0029  0.4686  0.7813
O  0.0071  0.7743  0.9562
O  0.0068  0.9781  0.2947
O  0.0079  0.2761  0.4674
O  0.1009  0.4613  0.2692
O  0.1050  0.9616  0.7628
O  0.2082  0.2148  0.1370
O  0.2100  0.7121  0.6319
O  0.3020  0.1999  0.6138
O  0.3018  0.3985  0.9358
O  0.3067  0.9024  0.4414
O  0.3188  0.7033  0.1150
O  0.3377  0.5304  0.7194
O  0.3503  0.0342  0.2182
O  0.4639  0.0800  0.7614
O  0.4697  0.5698  0.2567
O  0.4939  0.1759  0.0803
O  0.4971  0.6732  0.5826
O  0.5066  0.8470  0.8857
O  0.5133  0.3596  0.3792
O  0.6029  0.6470  0.0653
O  0.6043  0.1513  0.5766
O  0.7063  0.0272  0.3232
O  0.7161  0.5176  0.8275
O  0.8001  0.8133  0.5172
O  0.8069  0.3228  0.0119
O  0.8142  0.4958  0.3158
O  0.8207  0.0008  0.8188
O  0.8422  0.5971  0.6372
O  0.8477  0.1011  0.1451
O  0.9679  0.1412  0.6815
O  0.9728  0.6410  0.1817



4.
Starting from a structure optimized by DFT (PBE+U), the X-ray diffraction stick pattern of LaMnFe3Bi3O12 was calculated for Cu Kα X-rays.
Neutral-atom scattering factors, no anomalous dispersion.

Largest 12 diffraction maxima, in order of falling intensity, 15 to 90 degrees two-theta:
| 2theta | I/Imax |
| --- | --- |
| 31.6 | 1000 |
| 31.8 | 985 |
| 22.6 | 530 |
| 46.1 | 492 |
| 32.3 | 471 |
| 39.4 | 432 |
| 32.0 | 400 |
| 57.1 | 377 |
| 21.9 | 323 |
| 44.7 | 252 |
| 56.2 | 239 |
| 57.3 | 190 |

Atomic structure:
abc: 5.6714 5.6714 9.7952
angles: 108.07 108.07 58.56
Fractional coordinates of all 20 atoms:
La  0.0000  0.0000  0.0000
Mn  0.3763  0.3763  0.1294
Fe  0.1247  0.1247  0.3801
Fe  0.6298  0.6298  0.8783
Fe  0.8769  0.8769  0.6292
Bi  0.2711  0.2711  0.7678
Bi  0.4856  0.4856  0.4949
Bi  0.7647  0.7647  0.2678
O  0.0323  0.5297  0.4735
O  0.0395  0.5217  0.9757
O  0.0495  0.0495  0.5492
O  0.1937  0.1937  0.2100
O  0.2185  0.7167  0.2791
O  0.2258  0.7171  0.7787
O  0.5217  0.0395  0.9757
O  0.5297  0.0323  0.4735
O  0.5600  0.5600  0.0487
O  0.7057  0.7057  0.7079
O  0.7167  0.2185  0.2791
O  0.7171  0.2258  0.7787



5.
Starting from a structure optimized by DFT (PBE+U), the X-ray diffraction stick pattern of LiMn8O16 was calculated for Cu Kα X-rays.
Neutral-atom scattering factors, no anomalous dispersion.

Largest 12 diffraction maxima, in order of falling intensity, 15 to 90 degrees two-theta:
| 2theta | I/Imax |
| --- | --- |
| 18.4 | 1000 |
| 18.6 | 933 |
| 43.5 | 645 |
| 35.9 | 462 |
| 63.3 | 342 |
| 43.6 | 320 |
| 35.7 | 235 |
| 57.7 | 198 |
| 57.4 | 116 |
| 37.3 | 90 |
| 62.8 | 87 |
| 37.6 | 87 |

Atomic structure:
abc: 5.9174 11.7053 8.2952
angles: 90.00 90.00 90.00
Fractional coordinates of all 50 atoms:
Li  0.2500  0.2500  0.1244
Li  0.7500  0.7500  0.8756
Mn  0.0000  0.0000  0.0000
Mn  0.9998  0.2500  0.5001
Mn  0.0000  0.5000  0.0000
Mn  0.0002  0.7500  0.4999
Mn  0.2500  0.1255  0.7476
Mn  0.2500  0.3745  0.7476
Mn  0.2500  0.6229  0.7499
Mn  0.2500  0.8771  0.7499
Mn  0.5000  0.0000  0.0000
Mn  0.5002  0.2500  0.5001
Mn  0.5000  0.5000  0.0000
Mn  0.4998  0.7500  0.4999
Mn  0.7500  0.1229  0.2501
Mn  0.7500  0.3771  0.2501
Mn  0.7500  0.6255  0.2524
Mn  0.7500  0.8745  0.2524
O  0.0288  0.7500  0.7376
O  0.0318  0.2500  0.7329
O  0.0346  0.0002  0.7617
O  0.0346  0.4998  0.7617
O  0.2500  0.1173  0.9810
O  0.2500  0.1408  0.5135
O  0.2500  0.3592  0.5135
O  0.2500  0.3827  0.9810
O  0.2500  0.6082  0.9830
O  0.2500  0.6411  0.5162
O  0.2500  0.8589  0.5162
O  0.2500  0.8918  0.9830
O  0.4654  0.0002  0.7617
O  0.4654  0.4998  0.7617
O  0.4682  0.2500  0.7329
O  0.4712  0.7500  0.7376
O  0.5288  0.2500  0.2624
O  0.5318  0.7500  0.2671
O  0.5346  0.9998  0.2383
O  0.5346  0.5002  0.2383
O  0.7500  0.1082  0.0170
O  0.7500  0.1411  0.4838
O  0.7500  0.3589  0.4838
O  0.7500  0.3918  0.0170
O  0.7500  0.6173  0.0190
O  0.7500  0.6408  0.4865
O  0.7500  0.8592  0.4865
O  0.7500  0.8827  0.0190
O  0.9654  0.9998  0.2383
O  0.9654  0.5002  0.2383
O  0.9682  0.7500  0.2671
O  0.9712  0.2500  0.2624